Record 1
Structure and calculated XRD peak list of V2CrFe (a crystal structure in the Materials Project, relaxed with GGA-PBE; copper Kα).
Neutral-atom scattering factors, no anomalous dispersion.

Principal peaks in the range 15 to 90 degrees two-theta, low angle first:
2θ 44.6, intensity 100; 2θ 64.9, intensity 15; 2θ 82.2, intensity 28

Atomic structure:
```
data_V2CrFe
_space_group_name_H-M_alt 'F m -3 m'
_space_group_IT_number 225
_space_group_name_Hall '-F 4 2 3'
_cell_length_a 5.745
_cell_length_b 5.745
_cell_length_c 5.745
_cell_angle_alpha 90.00
_cell_angle_beta 90.00
_cell_angle_gamma 90.00
loop_
_atom_site_label
_atom_site_type_symbol
_atom_site_fract_x
_atom_site_fract_y
_atom_site_fract_z
_atom_site_occupancy
V1 V 0.250 0.250 0.250 1
Cr1 Cr 0.000 0.000 0.000 1
Fe1 Fe 0.000 0.000 0.500 1
```

Record 2
Structure and calculated XRD peak list of GdFe4P12 (a crystal structure in the Materials Project, relaxed with GGA-PBE; copper Kα).
Neutral-atom scattering factors, no anomalous dispersion.

Principal peaks in the range 15 to 90 degrees two-theta, low angle first:
2θ 16.1, intensity 49; 2θ 28.0, intensity 30; 2θ 32.4, intensity 88; 2θ 36.4, intensity 100; 2θ 43.4, intensity 75; 2θ 46.5, intensity 14; 2θ 52.4, intensity 13; 2θ 57.9, intensity 61; 2θ 60.5, intensity 46; 2θ 77.3, intensity 21; 2θ 84.1, intensity 15; 2θ 86.4, intensity 12

Atomic structure:
```
data_GdFe4P12
_space_group_name_H-M_alt 'I m -3'
_space_group_IT_number 204
_space_group_name_Hall '-I 2 2 3'
_cell_length_a 7.805
_cell_length_b 7.805
_cell_length_c 7.805
_cell_angle_alpha 90.00
_cell_angle_beta 90.00
_cell_angle_gamma 90.00
loop_
_atom_site_label
_atom_site_type_symbol
_atom_site_fract_x
_atom_site_fract_y
_atom_site_fract_z
_atom_site_occupancy
Gd1 Gd 0.000 0.000 0.000 1
Fe1 Fe 0.250 0.250 0.250 1
P1 P 0.000 0.352 0.150 1
```

Record 3
Structure and calculated XRD peak list of ZnFeS2 (a crystal structure in the Materials Project, relaxed with GGA-PBE; copper Kα).
Neutral-atom scattering factors, no anomalous dispersion.

Principal peaks in the range 15 to 90 degrees two-theta, low angle first:
2θ 28.4, intensity 33; 2θ 28.6, intensity 100; 2θ 33.1, intensity 13; 2θ 47.4, intensity 41; 2θ 47.6, intensity 40; 2θ 56.2, intensity 14; 2θ 56.4, intensity 26; 2θ 56.5, intensity 13; 2θ 69.4, intensity 12; 2θ 76.9, intensity 10; 2θ 88.0, intensity 6; 2θ 88.6, intensity 13

Atomic structure:
```
data_ZnFeS2
_space_group_name_H-M_alt 'R 3 m'
_space_group_IT_number 160
_space_group_name_Hall 'R 3 -2"'
_cell_length_a 3.8194
_cell_length_b 3.8194
_cell_length_c 18.8413
_cell_angle_alpha 90.00
_cell_angle_beta 90.00
_cell_angle_gamma 120.00
loop_
_atom_site_label
_atom_site_type_symbol
_atom_site_fract_x
_atom_site_fract_y
_atom_site_fract_z
_atom_site_occupancy
Zn1 Zn 0.0000 0.0000 0.0000 1
Fe1 Fe 0.0000 0.0000 0.5000 1
S1 S 0.0000 0.0000 0.1253 1
S2 S 0.0000 0.0000 0.6237 1
```

Record 4
Structure and calculated XRD peak list of Tb3Os (a crystal structure in the Materials Project, relaxed with GGA-PBE; copper Kα).
Neutral-atom scattering factors, no anomalous dispersion.

Principal peaks in the range 15 to 90 degrees two-theta, low angle first:
2θ 29.6, intensity 45; 2θ 31.1, intensity 64; 2θ 32.2, intensity 100; 2θ 32.6, intensity 70; 2θ 34.2, intensity 76; 2θ 34.3, intensity 39; 2θ 34.8, intensity 83; 2θ 38.3, intensity 52; 2θ 38.6, intensity 40; 2θ 39.2, intensity 45; 2θ 40.5, intensity 38; 2θ 48.9, intensity 48

Atomic structure:
```
data_Tb3Os
_space_group_name_H-M_alt 'P n m a'
_space_group_IT_number 62
_space_group_name_Hall '-P 2ac 2n'
_cell_length_a 7.395
_cell_length_b 9.141
_cell_length_c 6.362
_cell_angle_alpha 90.00
_cell_angle_beta 90.00
_cell_angle_gamma 90.00
loop_
_atom_site_label
_atom_site_type_symbol
_atom_site_fract_x
_atom_site_fract_y
_atom_site_fract_z
_atom_site_occupancy
Tb1 Tb 0.038 0.250 0.132 1
Tb2 Tb 0.176 0.064 0.669 1
Os1 Os 0.116 0.750 0.458 1
```

Record 5
Structure and calculated XRD peak list of Er2Mn17C3 (a crystal structure in the Materials Project, relaxed with GGA-PBE; copper Kα).
Neutral-atom scattering factors, no anomalous dispersion.

Principal peaks in the range 15 to 90 degrees two-theta, low angle first:
2θ 30.2, intensity 58; 2θ 34.1, intensity 24; 2θ 36.7, intensity 39; 2θ 40.9, intensity 47; 2θ 42.7, intensity 81; 2θ 42.9, intensity 100; 2θ 43.8, intensity 36; 2θ 46.4, intensity 23; 2θ 62.1, intensity 30; 2θ 62.8, intensity 22; 2θ 78.1, intensity 15; 2θ 79.9, intensity 17

Atomic structure:
```
data_Er2Mn17C3
_space_group_name_H-M_alt 'P 63/m m c'
_space_group_IT_number 194
_space_group_name_Hall '-P 6c 2c'
_cell_length_a 8.4784
_cell_length_b 8.4784
_cell_length_c 8.2678
_cell_angle_alpha 90.00
_cell_angle_beta 90.00
_cell_angle_gamma 120.00
loop_
_atom_site_label
_atom_site_type_symbol
_atom_site_fract_x
_atom_site_fract_y
_atom_site_fract_z
_atom_site_occupancy
Er1 Er 0.0000 0.0000 0.2500 1
Er2 Er 0.3333 0.6667 0.2500 1
Mn1 Mn 0.0000 0.5000 0.0000 1
Mn2 Mn 0.0606 0.3896 0.7500 1
Mn3 Mn 0.1703 0.3407 0.0256 1
Mn4 Mn 0.3333 0.6667 0.6089 1
C1 C 0.1646 0.3292 0.2500 1
```

Record 6
Structure and calculated XRD peak list of RbMg6Cr (a crystal structure in the Materials Project, relaxed with GGA-PBE; copper Kα).
Neutral-atom scattering factors, no anomalous dispersion.

Principal peaks in the range 15 to 90 degrees two-theta, low angle first:
2θ 15.3, intensity 16; 2θ 16.6, intensity 13; 2θ 22.6, intensity 19; 2θ 30.8, intensity 30; 2θ 31.5, intensity 6; 2θ 33.5, intensity 25; 2θ 35.2, intensity 100; 2θ 46.1, intensity 19; 2θ 54.7, intensity 17; 2θ 60.9, intensity 19; 2θ 65.7, intensity 18; 2θ 66.7, intensity 9

Atomic structure:
```
data_RbMg6Cr
_space_group_name_H-M_alt 'A m m 2'
_space_group_IT_number 38
_space_group_name_Hall 'A 2 -2'
_cell_length_a 5.355
_cell_length_b 6.714
_cell_length_c 11.604
_cell_angle_alpha 90.00
_cell_angle_beta 90.00
_cell_angle_gamma 90.00
loop_
_atom_site_label
_atom_site_type_symbol
_atom_site_fract_x
_atom_site_fract_y
_atom_site_fract_z
_atom_site_occupancy
Rb1 Rb 0.000 0.000 0.000 1
Mg1 Mg 0.000 0.248 0.749 1
Mg2 Mg 0.500 0.000 0.337 1
Mg3 Mg 0.500 0.000 0.821 1
Mg4 Mg 0.500 0.226 0.585 1
Cr1 Cr 0.000 0.000 0.500 1
```

Record 7
Structure and calculated XRD peak list of K2MnCl6 (a crystal structure in the Materials Project, relaxed with GGA-PBE; copper Kα).
Neutral-atom scattering factors, no anomalous dispersion.

Principal peaks in the range 15 to 90 degrees two-theta, low angle first:
2θ 15.5, intensity 70; 2θ 17.9, intensity 14; 2θ 25.4, intensity 22; 2θ 29.9, intensity 14; 2θ 31.3, intensity 97; 2θ 36.3, intensity 100; 2θ 47.7, intensity 18; 2θ 52.2, intensity 58; 2θ 54.8, intensity 12; 2θ 62.2, intensity 26; 2θ 65.3, intensity 18; 2θ 88.2, intensity 21

Atomic structure:
```
data_K2MnCl6
_space_group_name_H-M_alt 'F m -3 m'
_space_group_IT_number 225
_space_group_name_Hall '-F 4 2 3'
_cell_length_a 9.905
_cell_length_b 9.905
_cell_length_c 9.905
_cell_angle_alpha 90.00
_cell_angle_beta 90.00
_cell_angle_gamma 90.00
loop_
_atom_site_label
_atom_site_type_symbol
_atom_site_fract_x
_atom_site_fract_y
_atom_site_fract_z
_atom_site_occupancy
K1 K 0.250 0.250 0.250 1
Mn1 Mn 0.000 0.000 0.000 1
Cl1 Cl 0.000 0.000 0.231 1
```

Record 8
Structure and calculated XRD peak list of BiSe (a crystal structure in the Materials Project, relaxed with GGA-PBE; copper Kα).
Neutral-atom scattering factors, no anomalous dispersion.

Principal peaks in the range 15 to 90 degrees two-theta, low angle first:
2θ 21.0, intensity 51; 2θ 23.5, intensity 73; 2θ 27.4, intensity 30; 2θ 28.1, intensity 51; 2θ 29.8, intensity 100; 2θ 30.7, intensity 95; 2θ 36.8, intensity 51; 2θ 41.4, intensity 73; 2θ 42.7, intensity 38; 2θ 43.3, intensity 37; 2θ 44.7, intensity 26; 2θ 51.9, intensity 39

Atomic structure:
```
data_BiSe
_space_group_name_H-M_alt 'I 4/m m m'
_space_group_IT_number 139
_space_group_name_Hall '-I 4 2'
_cell_length_a 4.235
_cell_length_b 4.235
_cell_length_c 25.398
_cell_angle_alpha 90.00
_cell_angle_beta 90.00
_cell_angle_gamma 90.00
loop_
_atom_site_label
_atom_site_type_symbol
_atom_site_fract_x
_atom_site_fract_y
_atom_site_fract_z
_atom_site_occupancy
Bi1 Bi 0.000 0.000 0.184 1
Se1 Se 0.000 0.000 0.300 1
```